Diffraction record for CaLu2Ge4O12. The powder XRD pattern is calculated, not measured: it uses DFT lattice parameters and positions (GGA-PBE) and CuKα.
Lines closer than 0.1° are merged.

Structure:
```
38
Lattice="7.076 -7.080 0.000 7.076 7.080 0.000 0.000 0.000 5.058" Properties=species:S:1:pos:R:3 pbc="T T T"
Ca 3.538 3.540 0.000
Ca 3.538 -3.540 0.000
Lu 0.000 0.000 0.000
Lu 3.538 0.000 0.000
Lu 7.076 0.000 0.000
Lu 10.614 0.000 0.000
Ge 5.445 5.188 2.555
Ge 8.706 5.188 2.555
Ge 5.445 1.893 2.555
Ge 8.706 1.893 2.555
Ge 5.445 -1.893 2.503
Ge 8.706 -1.893 2.503
Ge 5.445 -5.188 2.503
Ge 8.706 -5.188 2.503
O 1.613 0.797 3.865
O 2.808 1.762 1.243
O 7.076 5.360 3.411
O 5.382 3.540 1.794
O 1.613 -0.797 1.193
O 4.267 1.762 3.815
O 2.808 -1.762 3.815
O 5.463 0.797 1.193
O 8.769 3.540 1.794
O 7.076 1.721 3.411
O 4.267 -1.762 1.243
O 5.463 -0.797 3.865
O 8.689 0.797 1.193
O 9.884 1.762 3.815
O 7.076 -1.721 1.647
O 5.382 -3.540 3.264
O 8.689 -0.797 3.865
O 11.343 1.762 1.243
O 9.884 -1.762 1.243
O 12.539 0.797 3.865
O 8.769 -3.540 3.264
O 7.076 -5.360 1.647
O 11.343 -1.762 3.815
O 12.539 -0.797 1.193
```

Peak list (10 most intense, 2θ = 15–90°, by intensity)
d/Å  I (rel.)
2.900  100.0
4.116  36.9
1.779  26.8
1.510  25.7
2.502  24.3
1.522  14.5
3.165  14.3
1.770  13.0
1.976  10.9
2.683  10.6